The following is a theoretical X-ray diffraction stick pattern of ZrRu5. It was derived from DFT lattice parameters and positions (GGA-PBE), using a wavelength of 1.5418 Å.
Lines closer than 0.1° are merged.

```
data_ZrRu5
_chemical_formula_sum 'Zr2 Ru10'
_cell_length_a 3.887
_cell_length_b 12.158
_cell_length_c 3.874
_cell_angle_alpha 90.00
_cell_angle_beta 90.00
_cell_angle_gamma 90.00
_space_group_name_H-M_alt 'C m m m'
_space_group_IT_number 65
_space_group_name_Hall '-C 2 2'
loop_
_atom_site_label
_atom_site_fract_x
_atom_site_fract_y
_atom_site_fract_z
Zr1 0.000 0.000 0.000
Ru1 0.000 0.178 0.500
Ru2 0.000 0.320 0.000
Ru3 0.000 0.500 0.500
```

Most intense lines, 15 to 90 degrees two-theta, low angle first:
(1 3 1), 39.67 deg, intensity 100; (0 6 0), 44.72 deg, intensity 16; (2 0 0), 46.74 deg, intensity 16; (0 0 2), 46.91 deg, intensity 16; (2 0 2), 68.38 deg, intensity 10; (3 3 1), 81.93 deg, intensity 12; (1 3 3), 82.17 deg, intensity 12; (2 6 2), 85.47 deg, intensity 9

---

The following is a theoretical X-ray diffraction stick pattern of PuAlCo2H8. It was derived from DFT lattice parameters and positions (GGA-PBE), using a wavelength of 1.5418 Å.
Lines closer than 0.1° are merged.

```
data_PuAlCo2H8
_chemical_formula_sum 'Pu1 Al1 Co2 H8'
_cell_length_a 4.2121
_cell_length_b 4.2121
_cell_length_c 5.9987
_cell_angle_alpha 90.00
_cell_angle_beta 90.00
_cell_angle_gamma 120.00
_space_group_name_H-M_alt 'P -3'
_space_group_IT_number 147
_space_group_name_Hall '-P 3'
loop_
_atom_site_label
_atom_site_fract_x
_atom_site_fract_y
_atom_site_fract_z
Pu1 0.0000 0.0000 0.0000
Al1 0.0000 0.0000 0.5000
Co1 0.3333 0.6667 0.6430
H1 0.0448 0.6870 0.3075
H2 0.3333 0.6667 0.9110
```

Most intense lines, 15 to 90 degrees two-theta, low angle first:
(1 0 0), 24.40 deg, intensity 42; (1 0 1), 28.64 deg, intensity 100; (0 1 2), 38.87 deg, intensity 58; (1 1 0), 42.94 deg, intensity 37; (0 2 1), 52.44 deg, intensity 19; (2 0 2), 59.30 deg, intensity 17; (3 -1 1), 70.02 deg, intensity 16; (1 2 2), 75.96 deg, intensity 16

---

The following is a theoretical X-ray diffraction stick pattern of La3Zn9Ir2. It was derived from DFT lattice parameters and positions (GGA-PBE), using a wavelength of 1.5418 Å.
Lines closer than 0.1° are merged.

```
data_La3Zn9Ir2
_chemical_formula_sum 'La6 Zn18 Ir4'
_cell_length_a 4.415
_cell_length_b 9.349
_cell_length_c 13.080
_cell_angle_alpha 90.00
_cell_angle_beta 90.00
_cell_angle_gamma 90.00
_space_group_name_H-M_alt 'I m m m'
_space_group_IT_number 71
_space_group_name_Hall '-I 2 2'
loop_
_atom_site_label
_atom_site_fract_x
_atom_site_fract_y
_atom_site_fract_z
La1 0.000 0.000 0.000
La2 0.000 0.000 0.313
Zn1 0.000 0.282 0.122
Zn2 0.000 0.357 0.333
Zn3 0.000 0.500 0.000
Ir1 0.000 0.205 0.500
```

Most intense lines, 15 to 90 degrees two-theta, low angle first:
(1 2 3), 34.71 deg, intensity 100; (0 3 3), 35.43 deg, intensity 46; (1 3 2), 37.92 deg, intensity 29; (1 0 5), 40.06 deg, intensity 27; (2 0 0), 40.88 deg, intensity 41; (0 0 6), 41.42 deg, intensity 21; (1 2 5), 44.69 deg, intensity 17; (2 3 3), 55.17 deg, intensity 21

---

The following is a theoretical X-ray diffraction stick pattern of PmH5Os. It was derived from DFT lattice parameters and positions (GGA-PBE), using a wavelength of 1.5418 Å.
Lines closer than 0.1° are merged.

```
data_PmH5Os
_chemical_formula_sum 'Pm2 H10 Os2'
_cell_length_a 3.652
_cell_length_b 5.054
_cell_length_c 6.904
_cell_angle_alpha 90.00
_cell_angle_beta 90.00
_cell_angle_gamma 90.00
_space_group_name_H-M_alt 'I m m m'
_space_group_IT_number 71
_space_group_name_Hall '-I 2 2'
loop_
_atom_site_label
_atom_site_fract_x
_atom_site_fract_y
_atom_site_fract_z
Pm1 0.000 0.000 0.000
H1 0.000 0.249 0.333
H2 0.000 0.500 0.000
Os1 0.000 0.000 0.500
```

Most intense lines, 15 to 90 degrees two-theta, low angle first:
(0 0 2), 25.81 deg, intensity 74; (1 1 0), 30.19 deg, intensity 100; (0 2 0), 35.52 deg, intensity 32; (1 1 2), 40.13 deg, intensity 93; (0 2 2), 44.43 deg, intensity 36; (1 1 4), 62.27 deg, intensity 26; (1 3 2), 66.90 deg, intensity 21; (2 2 2), 69.05 deg, intensity 20

---

The following is a theoretical X-ray diffraction stick pattern of K3PAu5. It was derived from DFT lattice parameters and positions (GGA-PBE), using a wavelength of 1.5418 Å.
Lines closer than 0.1° are merged.

```
data_K3PAu5
_chemical_formula_sum 'K12 P4 Au20'
_cell_length_a 5.877
_cell_length_b 18.509
_cell_length_c 8.310
_cell_angle_alpha 90.00
_cell_angle_beta 90.00
_cell_angle_gamma 90.00
_space_group_name_H-M_alt 'I m m a'
_space_group_IT_number 74
_space_group_name_Hall '-I 2b 2'
loop_
_atom_site_label
_atom_site_fract_x
_atom_site_fract_y
_atom_site_fract_z
K1 0.000 0.089 0.128
K2 0.000 0.250 0.897
P1 0.000 0.250 0.337
Au1 0.000 0.000 0.500
Au2 0.000 0.155 0.523
Au3 0.250 0.076 0.750
```

Most intense lines, 15 to 90 degrees two-theta, low angle first:
(0 3 1), 17.91 deg, intensity 49; (1 0 1), 18.49 deg, intensity 100; (1 6 1), 34.57 deg, intensity 65; (0 3 3), 35.52 deg, intensity 45; (1 0 3), 35.85 deg, intensity 31; (0 6 2), 36.27 deg, intensity 64; (2 0 2), 37.49 deg, intensity 63; (2 6 0), 42.48 deg, intensity 34

---

The following is a theoretical X-ray diffraction stick pattern of Ba2SmPuS5. It was derived from DFT lattice parameters and positions (GGA-PBE), using a wavelength of 1.5418 Å.
Lines closer than 0.1° are merged.

```
data_Ba2SmPuS5
_chemical_formula_sum 'Ba2 Sm1 Pu1 S5'
_cell_length_a 5.029
_cell_length_b 5.029
_cell_length_c 10.886
_cell_angle_alpha 90.00
_cell_angle_beta 90.00
_cell_angle_gamma 90.00
_space_group_name_H-M_alt 'P 4/m m m'
_space_group_IT_number 123
_space_group_name_Hall '-P 4 2'
loop_
_atom_site_label
_atom_site_fract_x
_atom_site_fract_y
_atom_site_fract_z
Ba1 0.000 0.000 0.210
Sm1 0.500 0.500 0.500
Pu1 0.500 0.500 0.000
S1 0.000 0.000 0.500
S2 0.000 0.500 0.000
S3 0.500 0.500 0.257
```

Most intense lines, 15 to 90 degrees two-theta, low angle first:
(1 0 2), 24.09 deg, intensity 100; (1 1 0), 25.04 deg, intensity 82; (1 0 3), 30.37 deg, intensity 21; (0 0 4), 32.91 deg, intensity 21; (2 0 0), 35.70 deg, intensity 46; (1 1 4), 41.80 deg, intensity 28; (2 1 2), 43.54 deg, intensity 44; (2 0 4), 49.34 deg, intensity 26

---

The following is a theoretical X-ray diffraction stick pattern of Ba4NaRe3O12. It was derived from DFT lattice parameters and positions (GGA-PBE), using a wavelength of 1.5418 Å.
Lines closer than 0.1° are merged.

```
data_Ba4NaRe3O12
_chemical_formula_sum 'Ba8 Na2 Re6 O24'
_cell_length_a 8.240
_cell_length_b 8.240
_cell_length_c 8.240
_cell_angle_alpha 90.00
_cell_angle_beta 90.00
_cell_angle_gamma 90.00
_space_group_name_H-M_alt 'I m -3 m'
_space_group_IT_number 229
_space_group_name_Hall '-I 4 2 3'
loop_
_atom_site_label
_atom_site_fract_x
_atom_site_fract_y
_atom_site_fract_z
Ba1 0.250 0.250 0.250
Na1 0.000 0.000 0.000
Re1 0.000 0.000 0.500
O1 0.000 0.000 0.271
O2 0.000 0.250 0.500
```

Most intense lines, 15 to 90 degrees two-theta, low angle first:
(1 1 0), 15.21 deg, intensity 14; (2 1 1), 26.50 deg, intensity 8; (2 2 0), 30.69 deg, intensity 100; (4 0 0), 43.96 deg, intensity 29; (4 2 2), 54.56 deg, intensity 40; (4 4 0), 63.91 deg, intensity 18; (6 2 0), 72.56 deg, intensity 18; (6 4 2), 88.88 deg, intensity 22

---

The following is a theoretical X-ray diffraction stick pattern of Mg2Be2SiPd5. It was derived from DFT lattice parameters and positions (GGA-PBE), using a wavelength of 1.5418 Å.
Lines closer than 0.1° are merged.

```
data_Mg2Be2SiPd5
_chemical_formula_sum 'Mg4 Be4 Si2 Pd10'
_cell_length_a 9.419
_cell_length_b 9.419
_cell_length_c 3.172
_cell_angle_alpha 90.00
_cell_angle_beta 90.00
_cell_angle_gamma 90.00
_space_group_name_H-M_alt 'P 4/m b m'
_space_group_IT_number 127
_space_group_name_Hall '-P 4 2ab'
loop_
_atom_site_label
_atom_site_fract_x
_atom_site_fract_y
_atom_site_fract_z
Mg1 0.173 0.327 0.000
Be1 0.126 0.626 0.000
Si1 0.000 0.000 0.000
Pd1 0.000 0.500 0.500
Pd2 0.073 0.798 0.500
```

Most intense lines, 15 to 90 degrees two-theta, low angle first:
(0 0 1), 28.13 deg, intensity 78; (3 1 0), 30.00 deg, intensity 47; (3 2 0), 34.33 deg, intensity 42; (4 1 0), 39.44 deg, intensity 69; (3 1 1), 41.59 deg, intensity 100; (3 2 1), 44.95 deg, intensity 49; (4 1 1), 49.15 deg, intensity 40; (5 5 1), 77.76 deg, intensity 34